Entry 1:
This entry pairs a crystal structure of CeAsS4I with its theoretical powder XRD pattern. Radiation: a wavelength of 1.5418 Å. Structure: a cell relaxed with PBE.
Peak positions follow from Bragg's law for the DFT cell and can differ from measured ones.

Cell and atoms:
Cell lengths 7.2848, 7.2848, 8.0512 Å; angles 100.80, 100.80, 74.51 degrees
Fractional positions:
Ce: 0.2271 0.2271 0.1281
Ce: 0.7729 0.7729 0.8719
As: 0.3649 0.3649 0.7272
As: 0.6351 0.6351 0.2728
S: 0.1476 0.5126 0.9079
S: 0.2276 0.2276 0.4891
S: 0.4553 0.4553 0.3137
S: 0.4874 0.8524 0.0921
S: 0.5126 0.1476 0.9079
S: 0.5447 0.5447 0.6863
S: 0.7724 0.7724 0.5109
S: 0.8524 0.4874 0.0921
I: 0.0238 0.0238 0.7780
I: 0.9762 0.9762 0.2220

Peak list (6 most intense, 2θ = 5–70°, in order of rising 2θ)
2θ/deg  d [Å]  I_rel
11.31  7.825  375
20.14  4.410  1000
25.81  3.452  276
30.50  2.931  396
30.58  2.923  463
42.37  2.133  268


Entry 2:
This entry pairs a crystal structure of CeAs3Ir with its theoretical powder XRD pattern. Radiation: a wavelength of 1.5418 Å. Structure: a cell relaxed with PBE.
Peak positions follow from Bragg's law for the DFT cell and can differ from measured ones.

Cell and atoms:
Cell lengths 12.0488, 5.8489, 5.6954 Å; angles 90.00, 90.00, 90.00 degrees
Fractional positions:
Ce: 0.1933 0.0034 0.2500
Ce: 0.1933 0.4966 0.7500
Ce: 0.8067 0.5034 0.2500
Ce: 0.8067 0.9966 0.7500
As: 0.0018 0.7500 0.0000
As: 0.0018 0.7500 0.5000
As: 0.2656 0.5068 0.2500
As: 0.2656 0.9932 0.7500
As: 0.4325 0.1154 0.2500
As: 0.4325 0.3846 0.7500
As: 0.5675 0.6154 0.2500
As: 0.5675 0.8846 0.7500
As: 0.7344 0.0068 0.2500
As: 0.7344 0.4932 0.7500
As: 0.9982 0.2500 0.0000
As: 0.9982 0.2500 0.5000
Ir: 0.4094 0.7500 0.0000
Ir: 0.4094 0.7500 0.5000
Ir: 0.5906 0.2500 0.0000
Ir: 0.5906 0.2500 0.5000

Peak list (6 most intense, 2θ = 5–70°, in order of rising 2θ)
2θ/deg  d [Å]  I_rel
7.34  12.049  1000
34.08  2.631  555
34.85  2.575  391
37.10  2.423  405
41.84  2.159  333
44.40  2.040  586


Entry 3:
This entry pairs a crystal structure of La2CeAs3Ir4 with its theoretical powder XRD pattern. Radiation: a wavelength of 1.5418 Å. Structure: a cell relaxed with PBE.
Peak positions follow from Bragg's law for the DFT cell and can differ from measured ones.

Cell and atoms:
Cell lengths 4.2242, 4.2242, 11.3782 Å; angles 90.00, 90.00, 90.00 degrees
Fractional positions:
La: 0.0000 0.5000 0.2258
La: 0.5000 0.0000 0.7742
Ce: 0.0000 0.0000 0.5000
As: 0.0000 0.5000 0.8725
As: 0.5000 0.0000 0.1275
As: 0.5000 0.5000 0.5000
Ir: 0.0000 0.0000 0.0000
Ir: 0.0000 0.5000 0.6556
Ir: 0.5000 0.0000 0.3444
Ir: 0.5000 0.5000 0.0000

Peak list (6 most intense, 2θ = 5–70°, in order of rising 2θ)
2θ/deg  d [Å]  I_rel
31.71  2.822  223
33.90  2.645  1000
42.81  2.112  514
43.96  2.060  309
45.26  2.003  213
62.15  1.493  171


Entry 4:
This entry pairs a crystal structure of Ce3AsP2Ir9 with its theoretical powder XRD pattern. Radiation: a wavelength of 1.5418 Å. Structure: a cell relaxed with PBE.
Peak positions follow from Bragg's law for the DFT cell and can differ from measured ones.

Cell and atoms:
Cell lengths 5.6133, 5.6133, 10.4703 Å; angles 90.00, 90.00, 120.00 degrees
Fractional positions:
Ce: 0.0000 0.0000 0.0000
Ce: 0.3333 0.6667 0.5885
Ce: 0.6667 0.3333 0.4115
As: 0.0000 0.0000 0.5000
P: 0.3333 0.6667 0.1608
P: 0.6667 0.3333 0.8392
Ir: 0.0000 0.5000 0.0000
Ir: 0.1645 0.3291 0.3150
Ir: 0.1645 0.8355 0.3150
Ir: 0.3291 0.1645 0.6850
Ir: 0.5000 0.0000 0.0000
Ir: 0.5000 0.5000 0.0000
Ir: 0.6709 0.8355 0.3150
Ir: 0.8355 0.1645 0.6850
Ir: 0.8355 0.6709 0.6850

Peak list (6 most intense, 2θ = 5–70°, in order of rising 2θ)
2θ/deg  d [Å]  I_rel
25.52  3.490  683
38.00  2.368  1000
40.94  2.205  960
51.29  1.781  349
58.15  1.586  171
66.65  1.403  263


> What is the formula in the first record?

CeAsS4I